(1)
# TmB2C
Simulated X-ray diffraction stick pattern, copper Kα. Input: a DFT-relaxed cell (PBE, OQMD).
Lines closer than 0.1° are merged.

Structure:
```
TmB2C
1.0
6.751 0.000 0.000
0.000 6.751 0.000
0.000 0.000 7.277
Tm B C
8 16 8
Direct
0.191 0.309 0.250
0.191 0.309 0.750
0.309 0.809 0.250
0.309 0.809 0.750
0.691 0.191 0.250
0.691 0.191 0.750
0.809 0.691 0.250
0.809 0.691 0.750
0.034 0.847 0.000
0.094 0.597 0.000
0.097 0.594 0.500
0.153 0.034 0.500
0.347 0.534 0.500
0.403 0.094 0.500
0.406 0.097 0.000
0.466 0.347 0.000
0.534 0.653 0.000
0.594 0.903 0.000
0.597 0.906 0.500
0.653 0.466 0.500
0.847 0.966 0.500
0.903 0.406 0.500
0.906 0.403 0.000
0.966 0.153 0.000
0.040 0.822 0.500
0.178 0.040 0.000
0.322 0.540 0.000
0.460 0.322 0.500
0.540 0.678 0.500
0.678 0.460 0.000
0.822 0.960 0.000
0.960 0.178 0.500
```

Top 8 peaks for 2θ = 5–70°, sorted by position:
Position (°2θ)	I/Imax
24.47	61.6
26.41	73.3
29.59	81.1
36.30	80.5
38.76	100.0
45.45	23.9
56.18	37.3
62.17	43.6


(2)
# KP2OsO8
Simulated X-ray diffraction stick pattern, copper Kα. Input: a DFT-relaxed cell (PBE, OQMD).
Lines closer than 0.1° are merged.

Structure:
```
KP2OsO8
1.0
4.687 0.000 0.000
-2.343 4.059 0.000
0.000 0.000 8.038
K P Os O
1 2 1 8
Direct
0.000 0.000 0.000
0.333 0.667 0.721
0.667 0.333 0.279
0.000 0.000 0.500
0.034 0.347 0.648
0.313 0.966 0.648
0.333 0.667 0.906
0.347 0.313 0.352
0.653 0.687 0.648
0.667 0.333 0.094
0.687 0.034 0.352
0.966 0.653 0.352
```

Top 8 peaks for 2θ = 5–70°, sorted by position:
Position (°2θ)	I/Imax
11.01	100.0
21.90	56.0
24.57	80.7
31.32	90.6
38.41	31.1
44.77	23.6
50.37	24.0
65.08	21.7


(3)
# Gd4B4O11F2
Simulated X-ray diffraction stick pattern, copper Kα. Input: a DFT-relaxed cell (PBE, OQMD).
Lines closer than 0.1° are merged.

Structure:
```
Gd4B4O11F2
1.0
6.730 -2.304 0.000
6.730 2.304 0.000
-0.333 0.000 13.646
Gd B O F
8 8 22 4
Direct
0.038 0.080 0.370
0.080 0.038 0.870
0.202 0.239 0.129
0.239 0.202 0.629
0.761 0.798 0.371
0.798 0.761 0.871
0.920 0.962 0.130
0.962 0.920 0.630
0.359 0.450 0.476
0.384 0.429 0.786
0.429 0.384 0.286
0.450 0.359 0.976
0.550 0.641 0.024
0.571 0.616 0.714
0.616 0.571 0.214
0.641 0.550 0.524
0.084 0.757 0.465
0.118 0.684 0.276
0.139 0.509 0.743
0.243 0.916 0.035
0.278 0.548 0.895
0.316 0.882 0.224
0.326 0.445 0.068
0.345 0.655 0.750
0.445 0.326 0.568
0.452 0.722 0.605
0.491 0.861 0.757
0.509 0.139 0.243
0.548 0.278 0.395
0.555 0.674 0.432
0.655 0.345 0.250
0.674 0.555 0.932
0.684 0.118 0.776
0.722 0.452 0.105
0.757 0.084 0.965
0.861 0.491 0.257
0.882 0.316 0.724
0.916 0.243 0.535
0.207 0.256 0.424
0.256 0.207 0.924
0.744 0.793 0.076
0.793 0.744 0.576
```

Top 8 peaks for 2θ = 5–70°, sorted by position:
Position (°2θ)	I/Imax
20.37	81.6
26.12	83.9
29.31	47.7
30.54	100.0
30.96	99.3
33.22	45.2
39.09	40.6
47.65	69.2